(1)
Simulated powder X-ray diffraction pattern
Compound: FeI3
Radiation: Cu Kα (λ = 1.5418 Å)
Structure: a crystal structure in OQMD, relaxed with PBE
Intensities are scaled so that the largest is 100.

Atomic structure:
```
FeI3
1.0
8.199 0.000 0.000
0.000 7.355 0.000
0.000 0.000 11.734
Fe I
4 12
direct
0.250 0.093 0.000 Fe
0.250 0.593 0.500 Fe
0.750 0.407 0.500 Fe
0.750 0.907 0.000 Fe
0.000 0.000 0.866 I
0.000 0.500 0.366 I
0.250 0.424 0.683 I
0.250 0.427 0.031 I
0.250 0.924 0.183 I
0.250 0.927 0.531 I
0.500 0.000 0.866 I
0.500 0.500 0.366 I
0.750 0.073 0.531 I
0.750 0.076 0.183 I
0.750 0.573 0.031 I
0.750 0.576 0.683 I
```

The 12 most intense peaks (2θ = 10–90°), sorted by position:
two_theta  I_rel
17.88  29
21.68  27
24.20  54
25.80  95
26.02  80
26.53  100
28.04  34
36.21  39
37.71  26
45.02  40
46.25  37
51.86  32

---

(2)
Simulated powder X-ray diffraction pattern
Compound: CuReTcB
Radiation: Cu Kα (λ = 1.5418 Å)
Structure: a crystal structure in OQMD, relaxed with PBE
Intensities are scaled so that the largest is 100.

Atomic structure:
```
CuReTcB
1.0
5.728 0.000 0.000
0.000 5.728 0.000
0.000 0.000 5.728
Cu Re Tc B
4 4 4 4
direct
0.000 0.000 0.000 Cu
0.000 0.500 0.500 Cu
0.500 0.000 0.500 Cu
0.500 0.500 0.000 Cu
0.250 0.250 0.250 Re
0.250 0.750 0.750 Re
0.750 0.250 0.750 Re
0.750 0.750 0.250 Re
0.250 0.250 0.750 Tc
0.250 0.750 0.250 Tc
0.750 0.250 0.250 Tc
0.750 0.750 0.750 Tc
0.000 0.000 0.500 B
0.000 0.500 0.000 B
0.500 0.000 0.000 B
0.500 0.500 0.500 B
```

The 10 most intense peaks (2θ = 10–90°), sorted by position:
two_theta  I_rel
26.96  21
31.23  44
44.75  100
53.02  10
55.58  12
65.14  16
71.84  4
74.01  16
82.50  33
88.75  3

---

(3)
Simulated powder X-ray diffraction pattern
Compound: NbBr5
Radiation: Cu Kα (λ = 1.5418 Å)
Structure: a crystal structure in OQMD, relaxed with PBE
Intensities are scaled so that the largest is 100.

Atomic structure:
```
NbBr5
1.0
3.972 -6.799 0.000
3.972 6.799 0.000
0.000 0.000 8.544
Nb Br
2 10
direct
0.167 0.833 0.750 Nb
0.833 0.167 0.250 Nb
0.165 0.835 0.042 Br
0.165 0.835 0.458 Br
0.189 0.347 0.250 Br
0.346 0.654 0.750 Br
0.347 0.189 0.750 Br
0.653 0.811 0.250 Br
0.654 0.346 0.250 Br
0.811 0.653 0.750 Br
0.835 0.165 0.542 Br
0.835 0.165 0.958 Br
```

The 12 most intense peaks (2θ = 10–90°), sorted by position:
two_theta  I_rel
16.60  100
20.79  36
22.58  48
24.57  26
25.98  61
26.21  34
28.03  46
34.10  88
46.11  50
47.35  29
47.53  29
47.63  30

---

(4)
Simulated powder X-ray diffraction pattern
Compound: PtF4
Radiation: Cu Kα (λ = 1.5418 Å)
Structure: a crystal structure in OQMD, relaxed with PBE
Intensities are scaled so that the largest is 100.

Atomic structure:
```
PtF4
1.0
5.040 0.000 0.000
0.000 5.130 0.000
0.000 0.000 8.761
Pt F
4 16
direct
0.124 0.084 0.132 Pt
0.376 0.916 0.632 Pt
0.624 0.416 0.868 Pt
0.876 0.584 0.368 Pt
0.047 0.817 0.526 F
0.108 0.776 0.013 F
0.167 0.103 0.774 F
0.175 0.425 0.254 F
0.325 0.575 0.754 F
0.333 0.897 0.274 F
0.392 0.224 0.513 F
0.453 0.183 0.026 F
0.547 0.683 0.474 F
0.608 0.724 0.987 F
0.667 0.397 0.226 F
0.675 0.075 0.746 F
0.825 0.925 0.246 F
0.833 0.603 0.726 F
0.892 0.276 0.487 F
0.953 0.317 0.974 F
```

The 12 most intense peaks (2θ = 10–90°), sorted by position:
two_theta  I_rel
20.06  20
20.33  44
24.76  40
26.78  100
26.97  40
37.12  19
39.79  26
40.79  17
41.22  19
48.68  13
55.22  20
66.01  13

---

(5)
Simulated powder X-ray diffraction pattern
Compound: DyEr3Pd4
Radiation: Cu Kα (λ = 1.5418 Å)
Structure: a crystal structure in OQMD, relaxed with PBE
Intensities are scaled so that the largest is 100.

Atomic structure:
```
DyEr3Pd4
1.0
5.548 0.000 0.000
0.000 4.550 0.000
-0.028 0.000 6.877
Dy Er Pd
1 3 4
direct
0.000 0.000 0.000 Dy
0.211 0.000 0.500 Er
0.499 0.500 0.135 Er
0.711 0.500 0.635 Er
0.012 0.500 0.279 Pd
0.200 0.500 0.772 Pd
0.512 0.000 0.858 Pd
0.698 0.000 0.360 Pd
```

The 12 most intense peaks (2θ = 10–90°), sorted by position:
two_theta  I_rel
28.50  42
32.64  80
34.82  31
34.93  31
36.54  100
39.61  56
40.27  75
42.61  12
53.79  36
55.92  15
69.87  15
72.32  13

---

(6)
Simulated powder X-ray diffraction pattern
Compound: ErTmGe4
Radiation: Cu Kα (λ = 1.5418 Å)
Structure: a crystal structure in OQMD, relaxed with PBE
Intensities are scaled so that the largest is 100.

Atomic structure:
```
ErTmGe4
1.0
3.906 0.000 0.000
0.000 4.028 0.000
0.000 0.000 15.874
Er Tm Ge
2 2 8
direct
0.000 0.000 0.000 Er
0.000 0.500 0.500 Er
0.500 0.000 0.206 Tm
0.500 0.500 0.706 Tm
0.000 0.000 0.355 Ge
0.000 0.000 0.657 Ge
0.000 0.500 0.157 Ge
0.000 0.500 0.855 Ge
0.500 0.000 0.550 Ge
0.500 0.000 0.851 Ge
0.500 0.500 0.050 Ge
0.500 0.500 0.351 Ge
```

The 12 most intense peaks (2θ = 10–90°), sorted by position:
two_theta  I_rel
25.41  19
27.84  11
33.88  18
36.02  15
36.26  100
41.21  12
45.01  16
46.50  15
57.51  8
66.71  10
77.27  11
79.45  10

---

(7)
Simulated powder X-ray diffraction pattern
Compound: Ga8Cu3Mo2
Radiation: Cu Kα (λ = 1.5418 Å)
Structure: a crystal structure in OQMD, relaxed with PBE
Intensities are scaled so that the largest is 100.

Atomic structure:
```
Ga8Cu3Mo2
1.0
-5.992 5.992 5.992
5.992 -5.992 5.992
5.992 5.992 -5.992
Ga Cu Mo
32 12 8
direct
0.000 0.288 0.500 Ga
0.000 0.788 0.500 Ga
0.001 0.734 0.991 Ga
0.009 0.509 0.243 Ga
0.009 0.509 0.743 Ga
0.212 0.212 0.212 Ga
0.234 0.501 0.491 Ga
0.234 0.991 0.999 Ga
0.243 0.009 0.509 Ga
0.257 0.766 0.766 Ga
0.266 0.266 0.757 Ga
0.266 0.757 0.266 Ga
0.288 0.500 0.000 Ga
0.491 0.234 0.501 Ga
0.491 0.734 0.499 Ga
0.499 0.491 0.734 Ga
0.500 0.000 0.288 Ga
0.500 0.000 0.788 Ga
0.501 0.491 0.234 Ga
0.509 0.243 0.009 Ga
0.509 0.743 0.009 Ga
0.712 0.712 0.712 Ga
0.734 0.499 0.491 Ga
0.734 0.991 0.001 Ga
0.743 0.009 0.509 Ga
0.757 0.266 0.266 Ga
0.766 0.257 0.766 Ga
0.766 0.766 0.257 Ga
0.788 0.500 0.000 Ga
0.991 0.001 0.734 Ga
0.991 0.999 0.234 Ga
0.999 0.234 0.991 Ga
0.017 0.267 0.750 Cu
0.233 0.250 0.483 Cu
0.250 0.483 0.233 Cu
0.250 0.767 0.517 Cu
0.267 0.750 0.017 Cu
0.483 0.233 0.250 Cu
0.517 0.250 0.767 Cu
0.733 0.983 0.750 Cu
0.750 0.017 0.267 Cu
0.750 0.733 0.983 Cu
0.767 0.517 0.250 Cu
0.983 0.750 0.733 Cu
0.000 0.040 0.500 Mo
0.000 0.540 0.500 Mo
0.040 0.500 0.000 Mo
0.460 0.460 0.460 Mo
0.500 0.000 0.040 Mo
0.500 0.000 0.540 Mo
0.540 0.500 0.000 Mo
0.960 0.960 0.960 Mo
```

The 12 most intense peaks (2θ = 10–90°), sorted by position:
two_theta  I_rel
18.13  13
20.97  13
27.85  7
29.82  6
38.29  9
41.26  9
42.68  100
44.06  11
46.72  6
61.94  12
75.21  6
78.14  20

---

(8)
Simulated powder X-ray diffraction pattern
Compound: GdZr
Radiation: Cu Kα (λ = 1.5418 Å)
Structure: a crystal structure in OQMD, relaxed with PBE
Intensities are scaled so that the largest is 100.

Atomic structure:
```
GdZr
1.0
7.138 0.000 0.000
0.000 5.767 0.000
0.000 0.000 5.362
Gd Zr
4 4
direct
0.148 0.061 0.250 Gd
0.148 0.439 0.750 Gd
0.852 0.561 0.250 Gd
0.852 0.939 0.750 Gd
0.402 0.593 0.250 Zr
0.402 0.907 0.750 Zr
0.598 0.093 0.250 Zr
0.598 0.407 0.750 Zr
```

The 12 most intense peaks (2θ = 10–90°), sorted by position:
two_theta  I_rel
25.90  22
29.43  18
31.01  16
33.43  38
33.94  100
35.34  37
45.12  11
46.24  10
54.19  14
60.08  19
61.01  11
65.19  16

---

(9)
Simulated powder X-ray diffraction pattern
Compound: Dy6Hg2C
Radiation: Cu Kα (λ = 1.5418 Å)
Structure: a crystal structure in OQMD, relaxed with PBE
Intensities are scaled so that the largest is 100.

Atomic structure:
```
Dy6Hg2C
1.0
6.922 0.000 0.000
0.000 6.923 0.000
-6.919 0.000 9.764
Dy Hg C
12 4 2
direct
0.161 0.003 0.243 Dy
0.161 0.497 0.743 Dy
0.281 0.750 0.043 Dy
0.281 0.750 0.543 Dy
0.292 0.240 0.043 Dy
0.292 0.260 0.543 Dy
0.708 0.740 0.457 Dy
0.708 0.760 0.957 Dy
0.719 0.250 0.457 Dy
0.719 0.250 0.957 Dy
0.839 0.503 0.257 Dy
0.839 0.997 0.757 Dy
0.259 0.007 0.749 Hg
0.259 0.493 0.249 Hg
0.741 0.507 0.751 Hg
0.741 0.993 0.251 Hg
0.000 0.000 0.000 C
0.000 0.500 0.500 C
```

The 12 most intense peaks (2θ = 10–90°), sorted by position:
two_theta  I_rel
30.32  30
31.69  100
36.72  35
36.82  13
40.19  12
45.43  8
52.95  24
55.57  11
55.65  10
62.25  9
63.00  18
66.19  6

---

(10)
Simulated powder X-ray diffraction pattern
Compound: Ni2SnSe3
Radiation: Cu Kα (λ = 1.5418 Å)
Structure: a crystal structure in OQMD, relaxed with PBE
Intensities are scaled so that the largest is 100.

Atomic structure:
```
Ni2SnSe3
1.0
1.831 -6.868 0.000
1.831 6.868 0.000
0.000 0.000 9.127
Ni Sn Se
4 2 6
direct
0.000 0.000 0.000 Ni
0.000 0.000 0.500 Ni
0.473 0.527 0.750 Ni
0.527 0.473 0.250 Ni
0.235 0.765 0.250 Sn
0.765 0.235 0.750 Sn
0.075 0.925 0.750 Se
0.370 0.630 0.546 Se
0.370 0.630 0.954 Se
0.630 0.370 0.046 Se
0.630 0.370 0.454 Se
0.925 0.075 0.250 Se
```

The 12 most intense peaks (2θ = 10–90°), sorted by position:
two_theta  I_rel
32.18  16
32.64  33
32.82  100
37.10  67
39.05  25
39.50  38
43.43  16
44.27  18
45.83  20
49.81  39
60.14  29
65.34  16

---

(11)
Simulated powder X-ray diffraction pattern
Compound: CuAg
Radiation: Cu Kα (λ = 1.5418 Å)
Structure: a crystal structure in OQMD, relaxed with PBE
Intensities are scaled so that the largest is 100.

Atomic structure:
```
CuAg
1.0
4.757 0.000 0.000
-0.867 4.732 0.000
-1.558 -2.547 6.653
Cu Ag
5 5
direct
0.000 0.000 0.000 Cu
0.098 0.201 0.718 Cu
0.273 0.591 0.087 Cu
0.388 0.793 0.819 Cu
0.557 0.170 0.184 Cu
0.179 0.389 0.390 Ag
0.480 0.995 0.504 Ag
0.683 0.379 0.905 Ag
0.804 0.608 0.616 Ag
0.864 0.790 0.289 Ag
```

The 12 most intense peaks (2θ = 10–90°), sorted by position:
two_theta  I_rel
39.68  51
39.85  50
40.07  100
45.66  34
46.52  30
47.08  31
66.81  10
67.64  19
67.73  10
68.53  9
80.82  11
82.63  11

---

(12)
Simulated powder X-ray diffraction pattern
Compound: Cu8Ag
Radiation: Cu Kα (λ = 1.5418 Å)
Structure: a crystal structure in OQMD, relaxed with PBE
Intensities are scaled so that the largest is 100.

Atomic structure:
```
Cu8Ag
1.0
4.119 -1.838 0.000
4.119 1.838 0.000
-2.500 0.000 7.409
Cu Ag
8 1
direct
0.003 0.003 0.341 Cu
0.325 0.325 0.766 Cu
0.334 0.334 0.446 Cu
0.336 0.336 0.122 Cu
0.664 0.664 0.878 Cu
0.666 0.666 0.554 Cu
0.675 0.675 0.234 Cu
0.997 0.997 0.659 Cu
0.000 0.000 0.000 Ag
```

The 12 most intense peaks (2θ = 10–90°), sorted by position:
two_theta  I_rel
33.67  1
38.48  1
42.54  100
49.40  16
49.59  31
72.53  4
72.63  14
72.75  9
87.76  5
87.86  5
88.08  16
88.14  5

---

Repeat the sixth record exactly.
Simulated powder X-ray diffraction pattern
Compound: ErTmGe4
Radiation: Cu Kα (λ = 1.5418 Å)
Structure: a crystal structure in OQMD, relaxed with PBE
Intensities are scaled so that the largest is 100.

Atomic structure:
```
ErTmGe4
1.0
3.906 0.000 0.000
0.000 4.028 0.000
0.000 0.000 15.874
Er Tm Ge
2 2 8
direct
0.000 0.000 0.000 Er
0.000 0.500 0.500 Er
0.500 0.000 0.206 Tm
0.500 0.500 0.706 Tm
0.000 0.000 0.355 Ge
0.000 0.000 0.657 Ge
0.000 0.500 0.157 Ge
0.000 0.500 0.855 Ge
0.500 0.000 0.550 Ge
0.500 0.000 0.851 Ge
0.500 0.500 0.050 Ge
0.500 0.500 0.351 Ge
```

The 12 most intense peaks (2θ = 10–90°), sorted by position:
two_theta  I_rel
25.41  19
27.84  11
33.88  18
36.02  15
36.26  100
41.21  12
45.01  16
46.50  15
57.51  8
66.71  10
77.27  11
79.45  10